1.
Tb3Pm4Dy8: simulated X-ray diffraction stick pattern (a wavelength of 1.5418 Å), based on a DFT-relaxed cell (PBE, Alexandria).

Structural model:
abc: 12.4911 12.4911 12.4911
angles: 32.37 32.37 32.37
Atoms (fractional coordinates):
Tb  0.0000  0.5000  0.5000
Tb  0.5000  0.0000  0.5000
Tb  0.5000  0.5000  0.0000
Pm  0.0000  0.0000  0.0000
Pm  0.1635  0.1635  0.1635
Pm  0.5000  0.5000  0.5000
Pm  0.8365  0.8365  0.8365
Dy  0.2499  0.2499  0.7475
Dy  0.2499  0.7475  0.2499
Dy  0.2525  0.7501  0.7501
Dy  0.2548  0.2548  0.2548
Dy  0.7452  0.7452  0.7452
Dy  0.7475  0.2499  0.2499
Dy  0.7501  0.2525  0.7501
Dy  0.7501  0.7501  0.2525

Most intense lines, 2θ from 15° to 90°, low angle first:
two_theta	I_rel
26.69	16
29.76	24
30.23	55
31.34	100
36.02	73
51.13	23
52.57	37
60.56	17
61.85	45
86.34	16



2.
PuAsH2Ru: simulated X-ray diffraction stick pattern (a wavelength of 1.5418 Å), based on a DFT-relaxed cell (PBE, Alexandria).

Structural model:
abc: 5.5773 5.5773 5.8563
angles: 90.00 90.00 137.93
Atoms (fractional coordinates):
Pu  0.2087  0.7913  0.7500
Pu  0.7913  0.2087  0.2500
As  0.0776  0.9224  0.2500
As  0.9224  0.0776  0.7500
H  0.3366  0.6634  0.0674
H  0.3366  0.6634  0.4326
H  0.6634  0.3366  0.5674
H  0.6634  0.3366  0.9326
Ru  0.5000  0.5000  0.0000
Ru  0.5000  0.5000  0.5000

Most intense lines, 2θ from 15° to 90°, low angle first:
two_theta	I_rel
28.33	100
34.19	57
35.16	56
37.58	81
37.82	50
39.08	66
45.30	35
58.61	26
59.14	41
60.45	26